1.
The following is a calculated powder diffraction line list of KIrAuS3. It was derived from a PBE-relaxed structure, using Cu Ka.

Cell and atoms:
```
KIrAuS3
1.0
1.8152 -8.1977 0.0000
1.8152 8.1977 0.0000
0.0000 0.0000 9.4073
K Ir Au S
2 2 2 6
direct
0.2138 0.7862 0.7500 K
0.7862 0.2138 0.2500 K
0.5000 0.5000 0.0000 Ir
0.5000 0.5000 0.5000 Ir
0.1199 0.8801 0.2500 Au
0.8801 0.1199 0.7500 Au
0.0973 0.9027 0.0096 S
0.0973 0.9027 0.4904 S
0.4583 0.5417 0.2500 S
0.5417 0.4583 0.7500 S
0.9027 0.0973 0.5096 S
0.9027 0.0973 0.9904 S
```

Main lines, by angle (10 to 90 degrees two-theta):
10.8 deg, d = 8.198 Å, I 100
14.3 deg, d = 6.180 Å, I 58
21.8 deg, d = 4.080 Å, I 38
28.9 deg, d = 3.090 Å, I 36
29.5 deg, d = 3.024 Å, I 60
31.6 deg, d = 2.831 Å, I 45

2.
The following is a calculated powder diffraction line list of KTe2IrAuS. It was derived from a PBE-relaxed structure, using Cu Ka.

Cell and atoms:
```
KTe2IrAuS
1.0
2.0220 -7.9571 0.0000
2.0220 7.9571 0.0000
0.0000 0.0000 10.2563
K Te Ir Au S
2 4 2 2 2
direct
0.2391 0.7609 0.7500 K
0.7609 0.2391 0.2500 K
0.3879 0.6121 0.0015 Te
0.3879 0.6121 0.4985 Te
0.6121 0.3879 0.5015 Te
0.6121 0.3879 0.9985 Te
0.0000 0.0000 0.0000 Ir
0.0000 0.0000 0.5000 Ir
0.4353 0.5647 0.2500 Au
0.5647 0.4353 0.7500 Au
0.0408 0.9592 0.2500 S
0.9592 0.0408 0.7500 S
```

Main lines, by angle (10 to 90 degrees two-theta):
11.1 deg, d = 7.957 Å, I 100
29.1 deg, d = 3.069 Å, I 23
32.9 deg, d = 2.725 Å, I 35
35.0 deg, d = 2.564 Å, I 29
35.9 deg, d = 2.501 Å, I 29
51.0 deg, d = 1.790 Å, I 21

3.
The following is a calculated powder diffraction line list of KTe4IrAu3. It was derived from a PBE-relaxed structure, using Cu Ka.

Cell and atoms:
```
KTe4IrAu3
1.0
6.8097 0.0000 0.0000
0.0000 6.8097 0.0000
0.0000 0.0000 6.8097
K Te Ir Au
1 4 1 3
direct
0.0000 0.0000 0.0000 K
0.2838 0.2838 0.2838 Te
0.2838 0.7162 0.7162 Te
0.7162 0.2838 0.7162 Te
0.7162 0.7162 0.2838 Te
0.5000 0.5000 0.5000 Ir
0.0000 0.5000 0.5000 Au
0.5000 0.0000 0.5000 Au
0.5000 0.5000 0.0000 Au
```

Main lines, by angle (10 to 90 degrees two-theta):
13.0 deg, d = 6.810 Å, I 82
22.6 deg, d = 3.932 Å, I 65
37.4 deg, d = 2.408 Å, I 100
44.1 deg, d = 2.053 Å, I 29
48.2 deg, d = 1.889 Å, I 24
67.4 deg, d = 1.390 Å, I 28